Simulated powder diffractogram
Compound: LiAg6Pt
Radiation: CuKα
Structure: a PBE-relaxed structure

Top 6 peaks for 2θ = 10–80°, in order of rising 2θ:
two_theta	d (Å)	intensity
12.3	7.203	100
22.8	3.903	99
35.3	2.541	94
37.6	2.394	74
39.4	2.286	88
41.7	2.168	91

Crystal structure
```
data_LiAg6Pt
_chemical_formula_sum 'Li2 Ag12 Pt2'
_cell_length_a 8.007
_cell_length_b 5.431
_cell_length_c 7.578
_cell_angle_alpha 90.00
_cell_angle_beta 108.11
_cell_angle_gamma 90.00
_symmetry_space_group_name_H-M 'C 1 2/m 1'
_symmetry_Int_Tables_number 12
loop_
_symmetry_equiv_pos_as_xyz
'x,y,z'
'-x,-y,-z'
'-x,y,-z'
'x,-y,z'
'x+1/2,y+1/2,z'
'-x+1/2,-y+1/2,-z'
'-x+1/2,y+1/2,-z'
'x+1/2,-y+1/2,z'
loop_
_atom_site_label
_atom_site_type_symbol
_atom_site_fract_x
_atom_site_fract_y
_atom_site_fract_z
Li1 Li 0.000 0.000 0.000
Ag1 Ag 0.142 0.000 0.437
Ag2 Ag 0.191 0.248 0.808
Pt1 Pt 0.000 0.500 0.500
```

***

Simulated powder diffractogram
Compound: LiPuAgSn
Radiation: CuKα
Structure: a PBE-relaxed structure

Top 6 peaks for 2θ = 10–80°, in order of rising 2θ:
two_theta	d (Å)	intensity
21.5	4.138	54
35.4	2.534	100
41.8	2.161	30
51.0	1.792	18
55.9	1.644	13
63.6	1.463	37

Crystal structure
```
data_LiPuAgSn
_chemical_formula_sum 'Li4 Pu4 Ag4 Sn4'
_cell_length_a 7.168
_cell_length_b 7.168
_cell_length_c 7.168
_cell_angle_alpha 90.00
_cell_angle_beta 90.00
_cell_angle_gamma 90.00
_symmetry_space_group_name_H-M 'F -4 3 m'
_symmetry_Int_Tables_number 216
_symmetry_space_group_name_Hall 'F -4 2 3'
loop_
_atom_site_label
_atom_site_type_symbol
_atom_site_fract_x
_atom_site_fract_y
_atom_site_fract_z
Li1 Li 0.000 0.000 0.000
Pu1 Pu 0.000 0.000 0.500
Ag1 Ag 0.250 0.250 0.750
Sn1 Sn 0.250 0.250 0.250
```

***

Simulated powder diffractogram
Compound: Li2ReAg
Radiation: CuKα
Structure: a PBE-relaxed structure

Top 6 peaks for 2θ = 10–80°, in order of rising 2θ:
two_theta	d (Å)	intensity
19.2	4.632	100
35.9	2.502	24
38.2	2.356	20
39.6	2.276	32
41.0	2.203	33
47.5	1.913	22

Crystal structure
```
data_Li2ReAg
_chemical_formula_sum 'Li4 Re2 Ag2'
_cell_length_a 9.373
_cell_length_b 2.599
_cell_length_c 5.063
_cell_angle_alpha 90.00
_cell_angle_beta 98.73
_cell_angle_gamma 90.00
_symmetry_space_group_name_H-M 'C 1 2/m 1'
_symmetry_Int_Tables_number 12
loop_
_symmetry_equiv_pos_as_xyz
'x,y,z'
'-x,-y,-z'
'-x,y,-z'
'x,-y,z'
'x+1/2,y+1/2,z'
'-x+1/2,-y+1/2,-z'
'-x+1/2,y+1/2,-z'
'x+1/2,-y+1/2,z'
loop_
_atom_site_label
_atom_site_type_symbol
_atom_site_fract_x
_atom_site_fract_y
_atom_site_fract_z
Li1 Li 0.249 0.000 0.266
Re1 Re 0.000 0.000 0.500
Ag1 Ag 0.000 0.500 0.000
```

***

Simulated powder diffractogram
Compound: Li7Ag3Rh
Radiation: CuKα
Structure: a PBE-relaxed structure

Top 6 peaks for 2θ = 10–80°, in order of rising 2θ:
two_theta	d (Å)	intensity
23.4	3.806	54
23.8	3.738	100
32.4	2.761	20
40.4	2.235	24
41.3	2.184	22
43.4	2.085	34

Crystal structure
```
data_Li7Ag3Rh
_chemical_formula_sum 'Li28 Ag12 Rh4'
_cell_length_a 2.797
_cell_length_b 17.163
_cell_length_c 15.225
_cell_angle_alpha 90.00
_cell_angle_beta 90.00
_cell_angle_gamma 90.00
_symmetry_space_group_name_H-M 'C m c m'
_symmetry_Int_Tables_number 63
_symmetry_space_group_name_Hall '-C 2c 2'
loop_
_atom_site_label
_atom_site_type_symbol
_atom_site_fract_x
_atom_site_fract_y
_atom_site_fract_z
Li1 Li 0.000 0.027 0.100
Li2 Li 0.000 0.111 0.667
Li3 Li 0.000 0.123 0.250
Li4 Li 0.000 0.261 0.592
Ag1 Ag 0.000 0.274 0.250
Ag2 Ag 0.000 0.380 0.018
Rh1 Rh 0.000 0.495 0.250
```

***

Simulated powder diffractogram
Compound: Li6Ag2Rh
Radiation: CuKα
Structure: a PBE-relaxed structure

Top 6 peaks for 2θ = 10–80°, in order of rising 2θ:
two_theta	d (Å)	intensity
23.5	3.790	100
40.7	2.217	55
41.3	2.188	29
53.7	1.708	18
59.3	1.557	17
74.8	1.269	17

Crystal structure
```
data_Li6Ag2Rh
_chemical_formula_sum 'Li12 Ag4 Rh2'
_cell_length_a 7.580
_cell_length_b 13.131
_cell_length_c 2.733
_cell_angle_alpha 90.00
_cell_angle_beta 90.00
_cell_angle_gamma 90.00
_symmetry_space_group_name_H-M 'C m m 2'
_symmetry_Int_Tables_number 35
loop_
_symmetry_equiv_pos_as_xyz
'x,y,z'
'-x,-y,z'
'-x,y,z'
'x,-y,z'
'x+1/2,y+1/2,z'
'-x+1/2,-y+1/2,z'
'-x+1/2,y+1/2,z'
'x+1/2,-y+1/2,z'
loop_
_atom_site_label
_atom_site_type_symbol
_atom_site_fract_x
_atom_site_fract_y
_atom_site_fract_z
Li1 Li 0.161 0.161 0.000
Li2 Li 0.178 0.500 0.005
Ag1 Ag 0.000 0.333 0.502
Rh1 Rh 0.000 0.000 0.502
```

***

Simulated powder diffractogram
Compound: Li6Ag3Rh
Radiation: CuKα
Structure: a PBE-relaxed structure

Top 6 peaks for 2θ = 10–80°, in order of rising 2θ:
two_theta	d (Å)	intensity
26.8	3.326	100
38.3	2.352	23
47.3	1.920	41
55.2	1.663	15
62.4	1.487	17
75.7	1.257	19

Crystal structure
```
data_Li6Ag3Rh
_chemical_formula_sum 'Li24 Ag12 Rh4'
_cell_length_a 9.407
_cell_length_b 9.407
_cell_length_c 9.407
_cell_angle_alpha 90.00
_cell_angle_beta 90.00
_cell_angle_gamma 90.00
_symmetry_space_group_name_H-M 'F m -3 m'
_symmetry_Int_Tables_number 225
_symmetry_space_group_name_Hall '-F 4 2 3'
loop_
_atom_site_label
_atom_site_type_symbol
_atom_site_fract_x
_atom_site_fract_y
_atom_site_fract_z
Li1 Li 0.000 0.000 0.243
Ag1 Ag 0.000 0.000 0.500
Ag2 Ag 0.250 0.250 0.250
Rh1 Rh 0.000 0.000 0.000
```

***

Simulated powder diffractogram
Compound: LiAgRu
Radiation: CuKα
Structure: a PBE-relaxed structure

Top 6 peaks for 2θ = 10–80°, in order of rising 2θ:
two_theta	d (Å)	intensity
13.6	6.517	66
34.7	2.585	35
40.0	2.255	100
41.6	2.172	22
48.8	1.865	28
66.0	1.415	21

Crystal structure
```
data_LiAgRu
_chemical_formula_sum 'Li2 Ag2 Ru2'
_cell_length_a 2.638
_cell_length_b 2.638
_cell_length_c 13.035
_cell_angle_alpha 90.00
_cell_angle_beta 90.00
_cell_angle_gamma 90.00
_symmetry_space_group_name_H-M 'I 4 m m'
_symmetry_Int_Tables_number 107
_symmetry_space_group_name_Hall 'I 4 -2'
loop_
_atom_site_label
_atom_site_type_symbol
_atom_site_fract_x
_atom_site_fract_y
_atom_site_fract_z
Li1 Li 0.000 0.000 0.000
Ag1 Ag 0.000 0.000 0.331
Ru1 Ru 0.000 0.000 0.657
```

***

Simulated powder diffractogram
Compound: Li14Ag2S9
Radiation: CuKα
Structure: a PBE-relaxed structure

Top 6 peaks for 2θ = 10–80°, in order of rising 2θ:
two_theta	d (Å)	intensity
16.9	5.236	100
26.6	3.356	40
30.8	2.900	24
39.6	2.273	22
43.9	2.061	36
44.7	2.027	40

Crystal structure
```
data_Li14Ag2S9
_chemical_formula_sum 'Li14 Ag2 S9'
_cell_length_a 7.1380
_cell_length_b 7.1380
_cell_length_c 9.8528
_cell_angle_alpha 90.00
_cell_angle_beta 90.00
_cell_angle_gamma 120.00
_symmetry_space_group_name_H-M 'P -3'
_symmetry_Int_Tables_number 147
loop_
_symmetry_equiv_pos_as_xyz
'x,y,z'
'-x,-y,-z'
'-y,x-y,z'
'y,-x+y,-z'
'-x+y,-x,z'
'x-y,x,-z'
loop_
_atom_site_label
_atom_site_type_symbol
_atom_site_fract_x
_atom_site_fract_y
_atom_site_fract_z
Li1 Li 0.0000 0.0000 0.2476
Li2 Li 0.0114 0.6706 0.4111
Li3 Li 0.0233 0.3586 0.0926
Ag1 Ag 0.3333 0.6667 0.7509
S1 S 0.0000 0.0000 0.5000
S2 S 0.0134 0.3256 0.8421
S3 S 0.3333 0.6667 0.4963
```

***

Simulated powder diffractogram
Compound: LiAg4Sb3S8
Radiation: CuKα
Structure: a PBE-relaxed structure

Top 6 peaks for 2θ = 10–80°, in order of rising 2θ:
two_theta	d (Å)	intensity
28.4	3.144	50
32.9	2.723	100
47.2	1.926	69
56.0	1.642	23
58.7	1.572	23
78.5	1.218	29

Crystal structure
```
data_LiAg4Sb3S8
_chemical_formula_sum 'Li3 Ag12 Sb9 S24'
_cell_length_a 7.6994
_cell_length_b 7.6994
_cell_length_c 18.8811
_cell_angle_alpha 90.00
_cell_angle_beta 90.00
_cell_angle_gamma 120.00
_symmetry_space_group_name_H-M 'R -3 m'
_symmetry_Int_Tables_number 166
_symmetry_space_group_name_Hall '-R 3 2"'
loop_
_atom_site_label
_atom_site_type_symbol
_atom_site_fract_x
_atom_site_fract_y
_atom_site_fract_z
Li1 Li 0.0000 0.0000 0.0000
Ag1 Ag 0.0000 0.0000 0.5000
Ag2 Ag 0.0000 0.5000 0.5000
Sb1 Sb 0.0000 0.5000 0.0000
S1 S 0.0000 0.0000 0.2488
S2 S 0.0048 0.5024 0.7472
```

***

Simulated powder diffractogram
Compound: LiTlAgS2
Radiation: CuKα
Structure: a PBE-relaxed structure

Top 6 peaks for 2θ = 10–80°, in order of rising 2θ:
two_theta	d (Å)	intensity
23.1	3.858	61
26.0	3.427	50
26.2	3.398	47
28.3	3.156	100
30.1	2.969	44
42.5	2.125	63

Crystal structure
```
data_LiTlAgS2
_chemical_formula_sum 'Li4 Tl4 Ag4 S8'
_cell_length_a 13.631
_cell_length_b 4.147
_cell_length_c 9.822
_cell_angle_alpha 90.00
_cell_angle_beta 129.39
_cell_angle_gamma 90.00
_symmetry_space_group_name_H-M 'C 1 2/m 1'
_symmetry_Int_Tables_number 12
loop_
_symmetry_equiv_pos_as_xyz
'x,y,z'
'-x,-y,-z'
'-x,y,-z'
'x,-y,z'
'x+1/2,y+1/2,z'
'-x+1/2,-y+1/2,-z'
'-x+1/2,y+1/2,-z'
'x+1/2,-y+1/2,z'
loop_
_atom_site_label
_atom_site_type_symbol
_atom_site_fract_x
_atom_site_fract_y
_atom_site_fract_z
Li1 Li 0.127 0.000 0.170
Tl1 Tl 0.074 0.500 0.418
Ag1 Ag 0.214 0.500 0.063
S1 S 0.066 0.000 0.864
S2 S 0.239 0.500 0.338
```

***

Simulated powder diffractogram
Compound: Li3Ag4Sb2
Radiation: CuKα
Structure: a PBE-relaxed structure

Top 6 peaks for 2θ = 10–80°, in order of rising 2θ:
two_theta	d (Å)	intensity
24.5	3.639	38
24.6	3.621	38
27.6	3.236	38
32.5	2.752	55
37.3	2.412	78
39.8	2.266	100

Crystal structure
```
data_Li3Ag4Sb2
_chemical_formula_sum 'Li3 Ag4 Sb2'
_cell_length_a 4.825
_cell_length_b 4.949
_cell_length_c 8.363
_cell_angle_alpha 97.80
_cell_angle_beta 90.40
_cell_angle_gamma 119.14
_symmetry_space_group_name_H-M 'P -1'
_symmetry_Int_Tables_number 2
loop_
_symmetry_equiv_pos_as_xyz
'x,y,z'
'-x,-y,-z'
loop_
_atom_site_label
_atom_site_type_symbol
_atom_site_fract_x
_atom_site_fract_y
_atom_site_fract_z
Li1 Li 0.000 0.000 0.000
Li2 Li 0.396 0.794 0.618
Ag1 Ag 0.070 0.143 0.665
Ag2 Ag 0.330 0.660 0.949
Sb1 Sb 0.248 0.494 0.271
```

***

Simulated powder diffractogram
Compound: Li2Ag3Sb2
Radiation: CuKα
Structure: a PBE-relaxed structure

Top 6 peaks for 2θ = 10–80°, in order of rising 2θ:
two_theta	d (Å)	intensity
20.7	4.287	100
34.9	2.571	91
35.2	2.546	89
37.2	2.420	95
37.3	2.413	94
41.0	2.199	79

Crystal structure
```
data_Li2Ag3Sb2
_chemical_formula_sum 'Li2 Ag3 Sb2'
_cell_length_a 4.398
_cell_length_b 5.404
_cell_length_c 6.536
_cell_angle_alpha 99.87
_cell_angle_beta 90.11
_cell_angle_gamma 113.41
_symmetry_space_group_name_H-M 'P -1'
_symmetry_Int_Tables_number 2
loop_
_symmetry_equiv_pos_as_xyz
'x,y,z'
'-x,-y,-z'
loop_
_atom_site_label
_atom_site_type_symbol
_atom_site_fract_x
_atom_site_fract_y
_atom_site_fract_z
Li1 Li 0.097 0.187 0.217
Ag1 Ag 0.366 0.736 0.064
Ag2 Ag 0.500 0.000 0.500
Sb1 Sb 0.186 0.374 0.674
```